[1]
Calculated powder diffractogram
Compound: K2TiO3F4
Radiation: Cu Kα, 1.54184 Å
Structure: a structure optimized by DFT (PBE)

Lattice parameters (Å, degrees): 17.4606 6.6766 12.4018 90.00 116.22 90.00
Space group C2/c (No. 15)
Unique sites:
K1 0.0650 0.2431 0.1362
K2 0.1911 0.2678 0.8369
Ti1 0.1700 0.3299 0.5338
O1 0.0260 0.1400 0.8041
O2 0.0806 0.3416 0.5839
O3 0.1075 0.1363 0.5770
F1 0.0968 0.3260 0.3654
F2 0.1569 0.3775 0.0272
F3 0.2311 0.0796 0.5159
F4 0.2390 0.1378 0.3076

Largest 10 diffraction maxima, by angle, 10 to 80 degrees two-theta:
| d (Å) | I (rel.) | hkl |
| --- | --- | --- |
| 7.832 | 77 | 2 0 0 |
| 5.821 | 46 | 1 1 -1 |
| 5.563 | 49 | 0 0 2 |
| 3.809 | 43 | 2 0 2 |
| 3.450 | 58 | 1 1 -3 |
| 3.338 | 100 | 0 2 0 |
| 3.056 | 66 | 5 1 -1 |
| 2.691 | 41 | 4 0 2 |
| 2.545 | 41 | 6 0 -4 |
| 2.318 | 57 | 2 0 4 |

***

[2]
Calculated powder diffractogram
Compound: KZrTl2OF5
Radiation: Cu Kα, 1.54184 Å
Structure: a structure optimized by DFT (PBE)

Lattice parameters (Å, degrees): 6.5075 6.5075 9.4544 90.00 90.00 90.00
Space group I4mm (No. 107)
Unique sites:
K1 0.0000 0.0000 0.0000
Zr1 0.0000 0.0000 0.5175
Tl1 0.0000 0.5000 0.2568
O1 0.0000 0.0000 0.7194
F1 0.0000 0.0000 0.2793
F2 0.2247 0.2247 0.4905

Largest 10 diffraction maxima, by angle, 10 to 80 degrees two-theta:
| d (Å) | I (rel.) | hkl |
| --- | --- | --- |
| 4.602 | 21 | 1 1 0 |
| 3.297 | 100 | 1 1 2 |
| 3.254 | 47 | 2 0 0 |
| 2.680 | 33 | 2 0 2 |
| 2.364 | 16 | 0 0 4 |
| 2.301 | 31 | 2 2 0 |
| 1.912 | 21 | 2 0 4 |
| 1.887 | 41 | 3 1 2 |
| 1.649 | 20 | 2 2 4 |
| 1.251 | 11 | 3 1 6 |

***

[3]
Calculated powder diffractogram
Compound: K2U3O10F8
Radiation: Cu Kα, 1.54184 Å
Structure: a structure optimized by DFT (PBE)

Lattice parameters (Å, degrees): 13.1536 14.4258 8.4882 90.00 90.00 90.00
Space group Ama2 (No. 40)
Unique sites:
K1 0.2500 0.0049 0.0000
K2 0.2500 0.3701 0.9123
U1 0.0000 0.0000 0.6573
U2 0.0252 0.2967 0.5518
O1 0.0000 0.0000 0.3684
O2 0.0948 0.1489 0.1062
O3 0.1303 0.0409 0.6545
O4 0.1382 0.2398 0.4816
O5 0.2500 0.0720 0.3413
O6 0.2500 0.1764 0.8427
O7 0.2500 0.3553 0.2670
F1 0.0459 0.2382 0.8044
F2 0.0507 0.3592 0.0565
F3 0.0527 0.4193 0.3757
F4 0.1231 0.3972 0.6735

Largest 10 diffraction maxima, by angle, 10 to 80 degrees two-theta:
| d (Å) | I (rel.) | hkl |
| --- | --- | --- |
| 6.577 | 100 | 2 0 0 |
| 4.244 | 26 | 0 0 2 |
| 4.184 | 47 | 0 3 1 |
| 3.658 | 18 | 0 2 2 |
| 3.566 | 36 | 2 0 2 |
| 3.530 | 76 | 2 3 1 |
| 3.288 | 21 | 4 0 0 |
| 3.197 | 28 | 2 2 2 |
| 1.945 | 22 | 2 2 4 |
| 1.916 | 17 | 2 7 1 |

***

[4]
Calculated powder diffractogram
Compound: KXeO3F
Radiation: Cu Kα, 1.54184 Å
Structure: a structure optimized by DFT (PBE)

Lattice parameters (Å, degrees): 7.6245 8.4617 6.9726 90.00 90.00 90.00
Space group Pna2_1 (No. 33)
Unique sites:
K1 0.1241 0.1473 0.0000
Xe1 0.0925 0.6513 0.0343
O1 0.1027 0.7363 0.7832
O2 0.1787 0.8319 0.1695
O3 0.2036 0.0253 0.5506
F1 0.0423 0.5708 0.3807

Largest 10 diffraction maxima, by angle, 10 to 80 degrees two-theta:
| d (Å) | I (rel.) | hkl |
| --- | --- | --- |
| 5.664 | 43 | 1 1 0 |
| 5.381 | 82 | 0 1 1 |
| 3.699 | 45 | 1 2 0 |
| 3.482 | 96 | 0 0 2 |
| 3.345 | 94 | 2 0 1 |
| 3.268 | 100 | 1 2 1 |
| 2.537 | 37 | 1 2 2 |
| 2.179 | 31 | 3 2 0 |
| 1.968 | 35 | 1 2 3 |
| 1.848 | 28 | 3 2 2 |

***

[5]
Calculated powder diffractogram
Compound: K3OsF6
Radiation: Cu Kα, 1.54184 Å
Structure: a structure optimized by DFT (PBE)

Lattice parameters (Å, degrees): 6.6627 6.7851 6.8526 98.84 106.63 99.46
Space group P-1 (No. 2)
Unique sites:
K1 0.0000 0.0000 0.0000
K2 0.0000 0.5000 0.5000
K3 0.5000 0.0000 0.5000
Os1 0.0000 0.0000 0.5000
F1 0.0633 0.7862 0.2927
F2 0.1931 0.2068 0.3975
F3 0.2414 0.9369 0.7257

Largest 10 diffraction maxima, by angle, 10 to 80 degrees two-theta:
| d (Å) | I (rel.) | hkl |
| --- | --- | --- |
| 6.540 | 100 | 0 1 0 |
| 6.416 | 90 | 0 0 1 |
| 6.227 | 87 | 1 0 0 |
| 5.417 | 22 | 1 0 -1 |
| 5.161 | 18 | 0 1 -1 |
| 5.106 | 18 | 1 -1 0 |
| 4.156 | 15 | 0 1 1 |
| 3.270 | 17 | 0 2 0 |
| 3.204 | 26 | 0 0 2 |
| 3.114 | 15 | 2 0 0 |

***

[6]
Calculated powder diffractogram
Compound: KPF6
Radiation: Cu Kα, 1.54184 Å
Structure: a structure optimized by DFT (PBE)

Lattice parameters (Å, degrees): 7.3635 7.3635 7.2288 90.00 90.00 120.00
Space group R-3 (No. 148, hexagonal axes)
Unique sites:
K1 0.0000 0.0000 0.0000
P1 0.0000 0.0000 0.5000
F1 0.0815 0.8739 0.6319

Largest 10 diffraction maxima, by angle, 10 to 80 degrees two-theta:
| d (Å) | I (rel.) | hkl |
| --- | --- | --- |
| 4.782 | 35 | 1 0 1 |
| 3.682 | 100 | 1 1 0 |
| 3.144 | 56 | 0 1 2 |
| 2.410 | 16 | 0 0 3 |
| 2.287 | 44 | 3 -1 1 |
| 2.005 | 73 | 1 2 2 |
| 1.459 | 14 | 0 4 2 |
| 1.446 | 21 | 3 -1 4 |
| 1.356 | 9 | 2 3 2 |
| 1.227 | 9 | 3 3 0 |

***

[7]
Calculated powder diffractogram
Compound: KPF6
Radiation: Cu Kα, 1.54184 Å
Structure: a structure optimized by DFT (PBE)

Lattice parameters (Å, degrees): 5.4538 5.4538 14.2391 90.00 90.00 120.00
Space group R-3m (No. 166, hexagonal axes)
Unique sites:
K1 0.0000 0.0000 0.0000
P1 0.0000 0.0000 0.5000
F1 0.0511 0.5256 0.1002

Largest 10 diffraction maxima, by angle, 10 to 80 degrees two-theta:
| d (Å) | I (rel.) | hkl |
| --- | --- | --- |
| 4.483 | 31 | 1 0 1 |
| 3.936 | 100 | 0 1 2 |
| 2.843 | 47 | 1 0 4 |
| 2.330 | 28 | 0 2 1 |
| 2.241 | 30 | 2 0 2 |
| 1.818 | 12 | 2 0 5 |
| 1.790 | 23 | 1 1 6 |
| 1.596 | 25 | 2 1 4 |
| 1.363 | 11 | 2 2 0 |
| 1.312 | 10 | 3 0 6 |

***

Repeat the fifth record exactly.
Calculated powder diffractogram
Compound: K3OsF6
Radiation: Cu Kα, 1.54184 Å
Structure: a structure optimized by DFT (PBE)

Lattice parameters (Å, degrees): 6.6627 6.7851 6.8526 98.84 106.63 99.46
Space group P-1 (No. 2)
Unique sites:
K1 0.0000 0.0000 0.0000
K2 0.0000 0.5000 0.5000
K3 0.5000 0.0000 0.5000
Os1 0.0000 0.0000 0.5000
F1 0.0633 0.7862 0.2927
F2 0.1931 0.2068 0.3975
F3 0.2414 0.9369 0.7257

Largest 10 diffraction maxima, by angle, 10 to 80 degrees two-theta:
| d (Å) | I (rel.) | hkl |
| --- | --- | --- |
| 6.540 | 100 | 0 1 0 |
| 6.416 | 90 | 0 0 1 |
| 6.227 | 87 | 1 0 0 |
| 5.417 | 22 | 1 0 -1 |
| 5.161 | 18 | 0 1 -1 |
| 5.106 | 18 | 1 -1 0 |
| 4.156 | 15 | 0 1 1 |
| 3.270 | 17 | 0 2 0 |
| 3.204 | 26 | 0 0 2 |
| 3.114 | 15 | 2 0 0 |